[1]
Theoretical X-ray powder pattern of LaPd5Au7 for a wavelength of 1.5418 Å, from DFT lattice parameters and positions (PBE).
Peak positions follow from Bragg's law for the DFT cell and can differ from measured ones.

Cell and atoms:
Cell: 5.5664 9.3560 9.2827 Å, 90.00 90.00 90.00°
Space group Imm2 (No. 44)
Symmetry-distinct sites (fractional):
1 La 0.0000 0.0000 0.0000 (multiplicity 2)
2 Pd 0.0000 0.5000 0.2824 (multiplicity 2)
3 Pd 0.2495 0.2486 0.7581 (multiplicity 8)
4 Au 0.0000 0.0000 0.3444 (multiplicity 2)
5 Au 0.0000 0.0000 0.6638 (multiplicity 2)
6 Au 0.0000 0.2911 0.5066 (multiplicity 4)
7 Au 0.0000 0.3438 0.0102 (multiplicity 4)
8 Au 0.0000 0.5000 0.7316 (multiplicity 2)

Principal peaks in the range 2θ = 15–90°, in order of rising 2θ:
2θ 32.2, I = 36, hkl 2 0 0; 2θ 32.9, I = 37, hkl 1 3 0; 2θ 37.7, I = 47, hkl 2 0 2; 2θ 38.4, I = 100, hkl 1 3 2; 2θ 38.8, I = 28, hkl 0 0 4; 2θ 42.5, I = 73, hkl 2 2 2; 2θ 43.3, I = 36, hkl 0 4 2; 2θ 69.6, I = 25, hkl 2 0 6

[2]
Theoretical X-ray powder pattern of DyBi2As2Rh7 for a wavelength of 1.5418 Å, from DFT lattice parameters and positions (PBE).
Peak positions follow from Bragg's law for the DFT cell and can differ from measured ones.

Cell and atoms:
Cell: 5.6761 5.6713 14.1801 Å, 90.00 98.10 90.00°
Space group C2/m (No. 12)
Symmetry-distinct sites (fractional):
1 Dy 0.0000 0.0000 0.0000 (multiplicity 2)
2 Bi 0.1207 0.0000 0.3911 (multiplicity 4)
3 As 0.0866 0.5000 0.2470 (multiplicity 4)
4 Rh 0.0000 0.5000 0.0000 (multiplicity 2)
5 Rh 0.1302 0.5000 0.4244 (multiplicity 4)
6 Rh 0.1976 0.2501 0.8505 (multiplicity 8)

Principal peaks in the range 2θ = 15–90°, in order of rising 2θ:
2θ 31.6, I = 41, hkl 0 2 0; 2θ 31.9, I = 53, hkl 0 0 5; 2θ 32.2, I = 47, hkl 0 2 1; 2θ 34.9, I = 55, hkl 2 0 -3; 2θ 36.1, I = 69, hkl 2 0 2; 2θ 37.1, I = 70, hkl 0 2 3; 2θ 45.2, I = 100, hkl 2 2 -1; 2θ 45.5, I = 68, hkl 0 2 5